The following is a calculated XRD peak list of Cs2CoPdF6. It was derived from a DFT-relaxed cell (PBE+U, Alexandria), using Cu Kα (weighted mean of Kα1 and Kα2).

Structure:
```
20
Lattice="3.155 1.822 10.449 -3.155 1.822 10.449 0.000 -3.643 10.449" Properties=species:S:1:pos:R:3 pbc="T T T"
Cs 0.000 0.000 3.956
Cs 0.000 0.000 9.033
Cs 0.000 0.000 22.315
Cs 0.000 0.000 27.391
Co 0.000 0.000 12.781
Co 0.000 0.000 18.566
Pd 0.000 0.000 0.000
Pd 0.000 0.000 15.674
F -1.384 -0.799 14.166
F 0.000 -1.778 11.708
F -1.540 0.889 11.708
F -1.540 -0.889 19.640
F 0.000 -1.598 17.181
F -1.384 0.799 17.181
F 1.384 -0.799 14.166
F 0.000 1.598 14.166
F 1.540 0.889 11.708
F 1.540 -0.889 19.640
F 0.000 1.778 19.640
F 1.384 0.799 17.181
```

Principal peaks in the range 5° ≤ 2θ ≤ 70°, by angle:
21.57°, I 17
25.72°, I 49
28.02°, I 21
28.29°, I 100
32.94°, I 20
35.85°, I 22
38.60°, I 33
43.96°, I 20
48.54°, I 14
50.07°, I 20
53.10°, I 13
58.49°, I 26